Computed powder XRD pattern
Compound: SrCrO4
Radiation: Cu Kα
Structure: the GGA+U geometry in Alexandria
Neutral-atom scattering factors, no anomalous dispersion.

Peak list (10 most intense, 2θ from 10° to 90°, by angle)
2θ 25.37, rel. 59; 2θ 26.94, rel. 100; 2θ 29.39, rel. 95; 2θ 32.49, rel. 22; 2θ 43.33, rel. 35; 2θ 45.39, rel. 31; 2θ 45.68, rel. 18; 2θ 48.52, rel. 25; 2θ 49.11, rel. 25; 2θ 65.54, rel. 17

Atomic structure:
a b c (Å): 6.8383 7.5060 8.7090
angles (deg): 90.00 126.28 90.00
Space group P2_1/c (No. 14)
Asymmetric unit:
Sr 0.1774 0.1554 0.2742 (multiplicity 4)
Cr 0.3095 0.6627 0.1972 (multiplicity 4)
O 0.1203 0.6629 0.6179 (multiplicity 4)
O 0.1928 0.5034 0.2544 (multiplicity 4)
O 0.3335 0.5974 0.0271 (multiplicity 4)
O 0.4107 0.2164 0.1201 (multiplicity 4)